Theoretical X-ray diffraction stick pattern
Compound: La6GaCo2Cl3
Radiation: λ = 1.5418 Å (Cu Kα)
Structure: a GGA-PBE-relaxed structure
Peak positions follow from Bragg's law for the DFT cell and can differ from measured ones.

Peak list (8 most intense, 2θ = 5–70°, low angle first)
2θ (°), intensity
11.73, 223
26.23, 183
29.43, 1000
39.96, 119
40.86, 194
43.28, 215
44.20, 125
53.97, 107

Structure:
Cell: 19.202 4.099 9.055 Å, 90.00 108.28 90.00°
Space group C2/m (No. 12)
Inequivalent atoms, fractional coordinates:
La (0.020, 0.000, 0.257)
La (0.165, 0.500, 0.122)
La (0.182, 0.500, 0.563)
Ga (0.000, 0.500, 0.000)
Co (0.170, 0.000, 0.340)
Cl (0.000, 0.500, 0.500)
Cl (0.163, 0.000, 0.839)

---

Theoretical X-ray diffraction stick pattern
Compound: Cu2Cl13
Radiation: λ = 1.5418 Å (Cu Kα)
Structure: a GGA-PBE-relaxed structure
Peak positions follow from Bragg's law for the DFT cell and can differ from measured ones.

Peak list (8 most intense, 2θ = 5–70°, low angle first)
2θ (°), intensity
11.32, 870
14.74, 742
23.45, 1000
24.59, 912
24.98, 624
26.16, 547
33.76, 617
38.08, 476

Structure:
Cell: 7.267 7.903 8.161 Å, 82.82 89.51 85.18°
Space group P-1 (No. 2)
Inequivalent atoms, fractional coordinates:
Cu (0.211, 0.409, 0.047)
Cl (0.088, 0.659, 0.917)
Cl (0.204, 0.640, 0.559)
Cl (0.265, 0.100, 0.753)
Cl (0.280, 0.132, 0.503)
Cl (0.316, 0.158, 0.159)
Cl (0.316, 0.625, 0.335)
Cl (0.500, 0.500, 0.000)

---

Theoretical X-ray diffraction stick pattern
Compound: Mg4Co3
Radiation: λ = 1.5418 Å (Cu Kα)
Structure: a GGA-PBE-relaxed structure
Peak positions follow from Bragg's law for the DFT cell and can differ from measured ones.

Peak list (8 most intense, 2θ = 5–70°, low angle first)
2θ (°), intensity
7.21, 357
14.45, 888
39.41, 1000
42.35, 530
44.97, 189
50.93, 311
61.44, 163
69.42, 70

Structure:
Cell: 3.018 3.018 24.516 Å, 90.00 90.00 90.00°
Space group I4/mmm (No. 139)
Inequivalent atoms, fractional coordinates:
Mg (0.000, 0.000, 0.061)
Mg (0.000, 0.000, 0.341)
Co (0.000, 0.000, 0.227)
Co (0.000, 0.000, 0.500)

---

Theoretical X-ray diffraction stick pattern
Compound: LaB4H12
Radiation: λ = 1.5418 Å (Cu Kα)
Structure: a GGA-PBE-relaxed structure
Peak positions follow from Bragg's law for the DFT cell and can differ from measured ones.

Peak list (8 most intense, 2θ = 5–70°, low angle first)
2θ (°), intensity
20.09, 1000
28.56, 101
35.17, 493
40.83, 226
45.91, 232
54.97, 269
63.11, 133
66.95, 47

Structure:
Cell: 6.250 6.250 6.250 Å, 90.00 90.00 90.00°
Space group Im-3m (No. 229)
Inequivalent atoms, fractional coordinates:
La (0.000, 0.000, 0.000)
B (0.250, 0.250, 0.250)
H (0.000, 0.258, 0.258)